No. 1
The following is a calculated XRD peak list of PrNi5Sn. It was derived from a crystal structure in the Materials Project, relaxed with GGA-PBE, using a wavelength of 1.5418 Å.
No peak broadening, texture or thermal motion is included.

Largest 12 diffraction maxima, in order of rising 2θ, 2θ = 10–80°:
d 2.607, I = 58, hkl 1 0 6
d 2.466, I = 100, hkl 1 1 0
d 2.354, I = 37, hkl 1 0 7
d 2.206, I = 56, hkl 1 1 4
d 2.136, I = 22, hkl 2 0 0
d 2.123, I = 44, hkl 2 0 1
d 1.974, I = 53, hkl 1 1 6
d 1.960, I = 20, hkl 2 0 4
d 1.952, I = 19, hkl 1 0 9
d 1.449, I = 27, hkl 2 1 6
d 1.368, I = 28, hkl 1 1 12
d 1.233, I = 29, hkl 2 2 0

Structure:
```
data_PrNi5Sn
_cell_length_a 4.9313
_cell_length_b 4.9313
_cell_length_c 19.7481
_cell_angle_alpha 90.00
_cell_angle_beta 90.00
_cell_angle_gamma 120.00
_space_group_name_H-M_alt 'P 63/m m c'
_space_group_IT_number 194
_space_group_name_Hall '-P 6c 2c'
loop_
_atom_site_label
_atom_site_type_symbol
_atom_site_fract_x
_atom_site_fract_y
_atom_site_fract_z
_atom_site_occupancy
Pr1 Pr 0.0000 0.0000 0.0000 1
Pr2 Pr 0.3333 0.6667 0.2500 1
Ni1 Ni 0.0000 0.0000 0.2500 1
Ni2 Ni 0.1657 0.3313 0.6460 1
Ni3 Ni 0.3333 0.6667 0.5434 1
Ni4 Ni 0.3333 0.6667 0.7500 1
Sn1 Sn 0.3333 0.6667 0.0876 1
```

***

No. 2
The following is a calculated XRD peak list of PrYNi4. It was derived from a crystal structure in the Materials Project, relaxed with GGA-PBE, using a wavelength of 1.5418 Å.
No peak broadening, texture or thermal motion is included.

Largest 12 diffraction maxima, in order of rising 2θ, 2θ = 10–80°:
d 4.212, I = 5, hkl 1 1 1
d 3.648, I = 3, hkl 2 0 0
d 2.580, I = 49, hkl 2 2 0
d 2.200, I = 100, hkl 3 1 1
d 2.106, I = 23, hkl 2 2 2
d 1.674, I = 1, hkl 3 3 1
d 1.631, I = 1, hkl 4 2 0
d 1.489, I = 18, hkl 4 2 2
d 1.404, I = 30, hkl 5 1 1
d 1.290, I = 23, hkl 4 4 0
d 1.233, I = 1, hkl 5 3 1
d 1.216, I = 1, hkl 4 4 2

Structure:
```
data_PrYNi4
_cell_length_a 7.296
_cell_length_b 7.296
_cell_length_c 7.296
_cell_angle_alpha 90.00
_cell_angle_beta 90.00
_cell_angle_gamma 90.00
_space_group_name_H-M_alt 'F -4 3 m'
_space_group_IT_number 216
_space_group_name_Hall 'F -4 2 3'
loop_
_atom_site_label
_atom_site_type_symbol
_atom_site_fract_x
_atom_site_fract_y
_atom_site_fract_z
_atom_site_occupancy
Pr1 Pr 0.000 0.000 0.000 1
Y1 Y 0.250 0.250 0.250 1
Ni1 Ni 0.125 0.125 0.625 1
```

***

No. 3
The following is a calculated XRD peak list of PrZnNi. It was derived from a crystal structure in the Materials Project, relaxed with GGA-PBE, using a wavelength of 1.5418 Å.
No peak broadening, texture or thermal motion is included.

Largest 12 diffraction maxima, in order of rising 2θ, 2θ = 10–80°:
d 3.614, I = 13, hkl 1 1 0
d 3.130, I = 17, hkl 2 0 0
d 2.650, I = 100, hkl 1 1 1
d 2.440, I = 90, hkl 2 0 1
d 2.366, I = 51, hkl 2 1 0
d 2.086, I = 19, hkl 3 0 0
d 2.022, I = 14, hkl 2 1 1
d 1.948, I = 24, hkl 0 0 2
d 1.736, I = 16, hkl 3 1 0
d 1.586, I = 31, hkl 3 1 1
d 1.504, I = 24, hkl 2 1 2
d 1.347, I = 21, hkl 3 2 1

Structure:
```
data_PrZnNi
_cell_length_a 7.2275
_cell_length_b 7.2275
_cell_length_c 3.8964
_cell_angle_alpha 90.00
_cell_angle_beta 90.00
_cell_angle_gamma 120.00
_space_group_name_H-M_alt 'P -6 2 m'
_space_group_IT_number 189
_space_group_name_Hall 'P -6 -2'
loop_
_atom_site_label
_atom_site_type_symbol
_atom_site_fract_x
_atom_site_fract_y
_atom_site_fract_z
_atom_site_occupancy
Pr1 Pr 0.0000 0.5870 0.0000 1
Zn1 Zn 0.0000 0.2331 0.5000 1
Ni1 Ni 0.0000 0.0000 0.0000 1
Ni2 Ni 0.3333 0.6667 0.5000 1
```

***

No. 4
The following is a calculated XRD peak list of Sc2NiPt. It was derived from a crystal structure in the Materials Project, relaxed with GGA-PBE, using a wavelength of 1.5418 Å.
No peak broadening, texture or thermal motion is included.

Largest 10 diffraction maxima, in order of rising 2θ, 2θ = 10–80°:
d 3.748, I = 32, hkl 1 1 1
d 3.246, I = 29, hkl 2 0 0
d 2.295, I = 100, hkl 2 2 0
d 1.958, I = 17, hkl 3 1 1
d 1.874, I = 9, hkl 2 2 2
d 1.623, I = 17, hkl 4 0 0
d 1.489, I = 7, hkl 3 3 1
d 1.452, I = 12, hkl 4 2 0
d 1.325, I = 33, hkl 4 2 2
d 1.249, I = 6, hkl 5 1 1

Structure:
```
data_Sc2NiPt
_cell_length_a 6.492
_cell_length_b 6.492
_cell_length_c 6.492
_cell_angle_alpha 90.00
_cell_angle_beta 90.00
_cell_angle_gamma 90.00
_space_group_name_H-M_alt 'F m -3 m'
_space_group_IT_number 225
_space_group_name_Hall '-F 4 2 3'
loop_
_atom_site_label
_atom_site_type_symbol
_atom_site_fract_x
_atom_site_fract_y
_atom_site_fract_z
_atom_site_occupancy
Sc1 Sc 0.250 0.250 0.250 1
Ni1 Ni 0.000 0.000 0.000 1
Pt1 Pt 0.000 0.000 0.500 1
```

***

Repeat the third record exactly.
The following is a calculated XRD peak list of PrZnNi. It was derived from a crystal structure in the Materials Project, relaxed with GGA-PBE, using a wavelength of 1.5418 Å.
No peak broadening, texture or thermal motion is included.

Largest 12 diffraction maxima, in order of rising 2θ, 2θ = 10–80°:
d 3.614, I = 13, hkl 1 1 0
d 3.130, I = 17, hkl 2 0 0
d 2.650, I = 100, hkl 1 1 1
d 2.440, I = 90, hkl 2 0 1
d 2.366, I = 51, hkl 2 1 0
d 2.086, I = 19, hkl 3 0 0
d 2.022, I = 14, hkl 2 1 1
d 1.948, I = 24, hkl 0 0 2
d 1.736, I = 16, hkl 3 1 0
d 1.586, I = 31, hkl 3 1 1
d 1.504, I = 24, hkl 2 1 2
d 1.347, I = 21, hkl 3 2 1

Structure:
```
data_PrZnNi
_cell_length_a 7.2275
_cell_length_b 7.2275
_cell_length_c 3.8964
_cell_angle_alpha 90.00
_cell_angle_beta 90.00
_cell_angle_gamma 120.00
_space_group_name_H-M_alt 'P -6 2 m'
_space_group_IT_number 189
_space_group_name_Hall 'P -6 -2'
loop_
_atom_site_label
_atom_site_type_symbol
_atom_site_fract_x
_atom_site_fract_y
_atom_site_fract_z
_atom_site_occupancy
Pr1 Pr 0.0000 0.5870 0.0000 1
Zn1 Zn 0.0000 0.2331 0.5000 1
Ni1 Ni 0.0000 0.0000 0.0000 1
Ni2 Ni 0.3333 0.6667 0.5000 1
```